Calculated X-ray diffraction stick pattern of Y2TlSn4 for Cu Kα (weighted mean of Kα1 and Kα2), from a crystal structure in Alexandria, relaxed with PBE.
Neutral-atom scattering factors, no anomalous dispersion.

The 10 most intense peaks (2θ = 10–90°), sorted by position:
| d_spacing | two_theta | Rel. int. |
| --- | --- | --- |
| 5.354 | 16.6 | 29 |
| 2.677 | 33.5 | 100 |
| 2.377 | 37.9 | 18 |
| 2.302 | 39.1 | 16 |
| 2.280 | 39.5 | 16 |
| 1.653 | 55.6 | 12 |
| 1.423 | 65.6 | 15 |
| 1.391 | 67.3 | 14 |
| 1.381 | 67.9 | 13 |
| 1.338 | 70.3 | 12 |

Atomic structure:
abc: 6.6168 6.5862 6.4789
angles: 60.85 60.38 58.77
Positions (direct):
Y  0.0000  0.0000  0.5000
Y  0.5000  0.5000  0.0000
Tl  0.0000  0.0000  0.0000
Sn  0.0000  0.5000  0.0000
Sn  0.0000  0.5000  0.5000
Sn  0.5000  0.0000  0.0000
Sn  0.5000  0.0000  0.5000